# 1
This entry pairs a crystal structure of Fe6OF11 with its simulated powder diffraction line list. Radiation: copper Kα. Structure: DFT lattice parameters and positions (GGA+U).
Neutral-atom scattering factors, no anomalous dispersion.

Most intense lines, 10 to 90 degrees two-theta, sorted by position:
2θ 26.06, I = 93.4; 2θ 26.36, I = 92.1; 2θ 33.54, I = 100.0; 2θ 50.93, I = 62.5; 2θ 51.28, I = 58.2; 2θ 65.03, I = 43.9

Atomic structure:
```
Fe6OF11
1.0
4.694 -3.381 0.000
4.694 3.381 0.000
-2.783 0.000 7.024
Fe O F
6 1 11
direct
0.000 0.000 0.000
0.309 0.357 0.333
0.310 0.374 0.842
0.626 0.690 0.158
0.643 0.691 0.667
0.980 0.020 0.500
0.297 0.703 0.000
0.084 0.128 0.308
0.221 0.253 0.041
0.347 0.002 0.677
0.416 0.452 0.627
0.548 0.584 0.373
0.609 0.045 0.325
0.688 0.312 0.000
0.747 0.779 0.959
0.872 0.916 0.692
0.955 0.391 0.675
0.998 0.653 0.323
```

---

# 2
This entry pairs a crystal structure of Fe10O11F9 with its simulated powder diffraction line list. Radiation: copper Kα. Structure: DFT lattice parameters and positions (GGA+U).
Neutral-atom scattering factors, no anomalous dispersion.

Most intense lines, 10 to 90 degrees two-theta, sorted by position:
2θ 26.72, I = 100.0; 2θ 27.19, I = 97.4; 2θ 34.95, I = 27.8; 2θ 35.08, I = 53.6; 2θ 52.62, I = 29.1; 2θ 52.96, I = 28.0

Atomic structure:
```
Fe10O11F9
1.0
4.678 0.000 0.000
0.079 4.678 0.000
0.122 0.021 15.279
Fe O F
10 11 9
direct
0.000 0.000 0.000
0.005 0.989 0.207
0.063 0.053 0.398
0.493 0.562 0.501
0.508 0.566 0.100
0.530 0.520 0.301
0.561 0.513 0.696
0.566 0.514 0.896
0.982 0.015 0.795
0.993 0.006 0.599
0.195 0.835 0.100
0.200 0.852 0.502
0.227 0.827 0.303
0.344 0.351 0.402
0.700 0.705 0.203
0.709 0.711 0.998
0.716 0.714 0.600
0.724 0.696 0.793
0.826 0.207 0.694
0.832 0.224 0.303
0.835 0.199 0.899
0.223 0.806 0.896
0.226 0.814 0.698
0.311 0.322 0.197
0.317 0.321 0.997
0.319 0.327 0.601
0.336 0.312 0.795
0.725 0.741 0.404
0.798 0.219 0.100
0.816 0.234 0.501
```

---

Copy entry 2 word for word.
This entry pairs a crystal structure of Fe10O11F9 with its simulated powder diffraction line list. Radiation: copper Kα. Structure: DFT lattice parameters and positions (GGA+U).
Neutral-atom scattering factors, no anomalous dispersion.

Most intense lines, 10 to 90 degrees two-theta, sorted by position:
2θ 26.72, I = 100.0; 2θ 27.19, I = 97.4; 2θ 34.95, I = 27.8; 2θ 35.08, I = 53.6; 2θ 52.62, I = 29.1; 2θ 52.96, I = 28.0

Atomic structure:
```
Fe10O11F9
1.0
4.678 0.000 0.000
0.079 4.678 0.000
0.122 0.021 15.279
Fe O F
10 11 9
direct
0.000 0.000 0.000
0.005 0.989 0.207
0.063 0.053 0.398
0.493 0.562 0.501
0.508 0.566 0.100
0.530 0.520 0.301
0.561 0.513 0.696
0.566 0.514 0.896
0.982 0.015 0.795
0.993 0.006 0.599
0.195 0.835 0.100
0.200 0.852 0.502
0.227 0.827 0.303
0.344 0.351 0.402
0.700 0.705 0.203
0.709 0.711 0.998
0.716 0.714 0.600
0.724 0.696 0.793
0.826 0.207 0.694
0.832 0.224 0.303
0.835 0.199 0.899
0.223 0.806 0.896
0.226 0.814 0.698
0.311 0.322 0.197
0.317 0.321 0.997
0.319 0.327 0.601
0.336 0.312 0.795
0.725 0.741 0.404
0.798 0.219 0.100
0.816 0.234 0.501
```